For Cu2Rh8W, a structure optimized by DFT (GGA-PBE) gives the computed powder X-ray diffraction pattern in this record (Cu Kα X-rays).
Intensities are scaled so that the largest is 1000.

Structure:
```
Cu2Rh8W
1.0
3.910 -5.099 0.000
3.910 5.099 0.000
0.000 0.000 4.044
Cu Rh W
2 8 1
direct
0.115 0.885 0.000
0.885 0.115 0.000
0.168 0.168 0.500
0.201 0.463 0.000
0.246 0.754 0.500
0.463 0.201 0.000
0.537 0.799 0.000
0.754 0.246 0.500
0.799 0.537 0.000
0.832 0.832 0.500
0.500 0.500 0.500
```

Principal peaks in the range 10 to 90 degrees two-theta, in order of falling intensity:
d 2.157, 41.89 deg, rel. 1000
d 2.142, 42.18 deg, rel. 892
d 2.069, 43.76 deg, rel. 439
d 2.022, 44.83 deg, rel. 418
d 1.446, 64.44 deg, rel. 272
d 1.116, 87.43 deg, rel. 235
d 2.811, 31.83 deg, rel. 210
d 1.213, 78.91 deg, rel. 164